No. 1
Pr7Nd2: calculated powder diffractogram (λ = 1.5418 Å (Cu Kα)), based on a cell relaxed with GGA-PBE.
Neutral-atom scattering factors, no anomalous dispersion.

Top 12 peaks for 2θ = 10–90°, sorted by position:
h k l  2theta  d (Å)  Rel. int.
1 1 1  29.48  3.030  100
0 0 3  29.63  3.015  33
2 -1 2  34.22  2.621  67
3 0 0  49.07  1.857  24
1 1 4  49.26  1.850  24
3 0 3  58.35  1.582  43
2 -1 5  58.55  1.577  14
2 2 2  61.18  1.515  13
4 -2 4  72.08  1.310  8
4 1 1  79.58  1.205  12
5 -1 2  82.11  1.174  11
3 0 6  82.41  1.170  11

```
data_Pr7Nd2
_cell_length_a 6.4312
_cell_length_b 6.4312
_cell_length_c 9.0447
_cell_angle_alpha 90.00
_cell_angle_beta 90.00
_cell_angle_gamma 120.00
_symmetry_space_group_name_H-M 'P -3 1 m'
_symmetry_Int_Tables_number 162
_symmetry_space_group_name_Hall '-P 3 2'
loop_
_atom_site_label
_atom_site_type_symbol
_atom_site_fract_x
_atom_site_fract_y
_atom_site_fract_z
Pr1 Pr 0.0000 0.0000 0.0000
Pr2 Pr 0.0000 0.3334 0.6674
Nd1 Nd 0.3333 0.6667 0.0000
```

***

No. 2
Hf2Zr2In: calculated powder diffractogram (λ = 1.5418 Å (Cu Kα)), based on a cell relaxed with GGA-PBE.
Neutral-atom scattering factors, no anomalous dispersion.

Top 12 peaks for 2θ = 10–90°, sorted by position:
h k l  2theta  d (Å)  Rel. int.
1 1 0  16.39  5.407  8
0 0 1  22.49  3.953  18
2 1 0  26.06  3.420  9
2 0 1  32.58  2.748  11
2 1 1  34.69  2.586  100
3 1 0  37.18  2.418  42
3 1 1  43.89  2.063  15
0 0 2  45.91  1.977  15
3 2 1  48.73  1.869  10
3 1 2  60.50  1.530  20
5 2 1  70.46  1.336  16
2 1 3  77.66  1.230  10

```
data_Hf2Zr2In
_cell_length_a 7.647
_cell_length_b 7.647
_cell_length_c 3.953
_cell_angle_alpha 90.00
_cell_angle_beta 90.00
_cell_angle_gamma 90.00
_symmetry_space_group_name_H-M 'P 4/m b m'
_symmetry_Int_Tables_number 127
_symmetry_space_group_name_Hall '-P 4 2ab'
loop_
_atom_site_label
_atom_site_type_symbol
_atom_site_fract_x
_atom_site_fract_y
_atom_site_fract_z
Hf1 Hf 0.133 0.367 0.000
Zr1 Zr 0.165 0.665 0.500
In1 In 0.000 0.000 0.000
```

***

No. 3
CeAlB4: calculated powder diffractogram (λ = 1.5418 Å (Cu Kα)), based on a cell relaxed with GGA-PBE.
Neutral-atom scattering factors, no anomalous dispersion.

Top 12 peaks for 2θ = 10–90°, sorted by position:
h k l  2theta  d (Å)  Rel. int.
1 1 0  16.60  5.340  22
1 2 0  21.25  4.181  43
0 0 1  24.38  3.650  53
1 3 0  27.36  3.260  34
0 4 0  30.73  2.909  73
1 2 1  32.56  2.750  38
1 3 1  36.97  2.431  40
0 4 1  39.61  2.275  100
1 4 1  42.48  2.128  20
2 5 0  49.53  1.840  19
2 5 1  55.96  1.643  19
0 4 2  59.82  1.546  23

```
data_CeAlB4
_cell_length_a 6.009
_cell_length_b 11.640
_cell_length_c 3.650
_cell_angle_alpha 90.00
_cell_angle_beta 90.00
_cell_angle_gamma 90.00
_symmetry_space_group_name_H-M 'P b a m'
_symmetry_Int_Tables_number 55
loop_
_symmetry_equiv_pos_as_xyz
'x,y,z'
'-x,-y,-z'
'-x,-y,z'
'x,y,-z'
'x+1/2,-y+1/2,-z'
'-x+1/2,y+1/2,z'
'-x+1/2,y+1/2,-z'
'x+1/2,-y+1/2,z'
loop_
_atom_site_label
_atom_site_type_symbol
_atom_site_fract_x
_atom_site_fract_y
_atom_site_fract_z
Ce1 Ce 0.127 0.151 0.000
Al1 Al 0.138 0.409 0.000
B1 B 0.029 0.692 0.500
B2 B 0.113 0.546 0.500
B3 B 0.134 0.969 0.500
B4 B 0.213 0.812 0.500
```

***

No. 4
MnPW2: calculated powder diffractogram (λ = 1.5418 Å (Cu Kα)), based on a cell relaxed with GGA-PBE.
Neutral-atom scattering factors, no anomalous dispersion.

Top 12 peaks for 2θ = 10–90°, sorted by position:
h k l  2theta  d (Å)  Rel. int.
0 1 1  23.28  3.820  30
1 0 1  32.43  2.761  32
0 1 3  37.39  2.405  38
0 0 4  41.24  2.189  22
0 2 0  42.59  2.123  28
1 1 2  42.98  2.104  100
1 2 1  54.53  1.683  15
0 2 4  60.78  1.524  14
1 0 5  61.84  1.500  12
1 2 5  77.98  1.225  13
1 3 2  78.23  1.222  17
2 2 0  79.96  1.200  16

```
data_MnPW2
_cell_length_a 2.909
_cell_length_b 4.246
_cell_length_c 8.756
_cell_angle_alpha 90.00
_cell_angle_beta 90.00
_cell_angle_gamma 90.00
_symmetry_space_group_name_H-M 'I m m 2'
_symmetry_Int_Tables_number 44
loop_
_symmetry_equiv_pos_as_xyz
'x,y,z'
'-x,-y,z'
'-x,y,z'
'x,-y,z'
'x+1/2,y+1/2,z+1/2'
'-x+1/2,-y+1/2,z+1/2'
'-x+1/2,y+1/2,z+1/2'
'x+1/2,-y+1/2,z+1/2'
loop_
_atom_site_label
_atom_site_type_symbol
_atom_site_fract_x
_atom_site_fract_y
_atom_site_fract_z
Mn1 Mn 0.000 0.000 0.000
P1 P 0.000 0.500 0.298
W1 W 0.000 0.000 0.554
W2 W 0.000 0.500 0.766
```